Diffraction record for NdPa2S3. The powder diffraction line list is calculated, not measured: it uses a crystal structure in Alexandria, relaxed with GGA-PBE and Cu Kα.
Intensities are scaled so that the largest is 100.

Main lines, low angle first (15 to 90 degrees two-theta):
2θ/deg  I/Imax
27.63  49
27.76  48
32.09  100
45.82  12
46.02  49
46.16  12
54.42  16
54.60  24
57.05  13
57.34  13
67.11  12
76.33  17

Structural model:
```
data_NdPa2S3
_chemical_formula_sum 'Nd4 Pa8 S12'
_symmetry_space_group_name_H-M 'P 1 21/c 1'
_symmetry_Int_Tables_number 14
_cell_length_a 5.574
_cell_length_b 11.881
_cell_length_c 7.867
_cell_angle_alpha 90.00
_cell_angle_beta 90.05
_cell_angle_gamma 90.00
loop_
_symmetry_equiv_pos_as_xyz
'x,y,z'
'-x,-y,-z'
'-x,y+1/2,-z+1/2'
'x,-y+1/2,z+1/2'
loop_
_atom_site_label
_atom_site_type_symbol
_atom_site_fract_x
_atom_site_fract_y
_atom_site_fract_z
Nd1 Nd 0.250 0.080 0.128
Pa1 Pa 0.250 0.084 0.622
Pa2 Pa 0.251 0.746 0.624
S1 S 0.249 0.248 0.874
S2 S 0.250 0.585 0.367
S3 S 0.250 0.587 0.881
```